For Dy3Ge5, DFT lattice parameters and positions (GGA-PBE) gives the calculated powder diffraction line list in this record (Cu Ka).

Main lines, by angle (2θ = 10–90°):
- 25.76 deg, rel. 22
- 33.64 deg, rel. 100
- 45.42 deg, rel. 28
- 57.69 deg, rel. 16
- 64.56 deg, rel. 19
- 76.33 deg, rel. 17

```
16
Lattice="6.917 0.000 0.000 -3.458 5.990 0.000 0.000 0.000 8.358" Properties=species:S:1:pos:R:3 pbc="T T T"
Dy -1.147 1.987 0.000
Dy -1.147 1.987 4.179
Dy 2.294 0.000 0.000
Dy 2.294 0.000 4.179
Dy 2.311 4.003 0.000
Dy 2.311 4.003 4.179
Ge 0.000 0.000 2.089
Ge 0.000 0.000 6.268
Ge -1.819 4.008 2.089
Ge 0.898 2.411 2.089
Ge 0.000 3.993 6.268
Ge 1.639 1.983 6.268
Ge 0.922 5.562 2.089
Ge 3.458 1.997 2.089
Ge 4.380 0.428 6.268
Ge 4.356 3.579 6.268
```

=====

For Dy3Ge13Ir4, DFT lattice parameters and positions (GGA-PBE) gives the calculated powder diffraction line list in this record (Cu Ka).

Main lines, by angle (2θ = 10–90°):
- 19.59 deg, rel. 46
- 34.27 deg, rel. 56
- 35.72 deg, rel. 100
- 37.11 deg, rel. 41
- 39.78 deg, rel. 55
- 49.25 deg, rel. 52

```
40
Lattice="9.064 0.000 0.000 0.000 9.064 0.000 0.000 0.000 9.064" Properties=species:S:1:pos:R:3 pbc="T T T"
Dy 0.000 2.266 4.532
Dy 0.000 6.798 4.532
Dy 2.266 4.532 0.000
Dy 4.532 0.000 2.266
Dy 4.532 0.000 6.798
Dy 6.798 4.532 0.000
Ge 0.000 0.000 0.000
Ge 0.000 2.800 1.322
Ge 0.000 2.800 7.742
Ge 0.000 6.264 1.322
Ge 0.000 6.264 7.742
Ge 1.322 0.000 2.800
Ge 1.322 0.000 6.264
Ge 1.732 4.532 3.210
Ge 1.732 4.532 5.854
Ge 2.800 1.322 0.000
Ge 2.800 7.742 0.000
Ge 3.210 1.732 4.532
Ge 3.210 7.332 4.532
Ge 4.532 3.210 1.732
Ge 4.532 3.210 7.332
Ge 4.532 4.532 4.532
Ge 4.532 5.854 1.732
Ge 4.532 5.854 7.332
Ge 5.854 1.732 4.532
Ge 5.854 7.332 4.532
Ge 6.264 1.322 0.000
Ge 6.264 7.742 0.000
Ge 7.332 4.532 3.210
Ge 7.332 4.532 5.854
Ge 7.742 0.000 2.800
Ge 7.742 0.000 6.264
Ir 2.266 2.266 2.266
Ir 2.266 2.266 6.798
Ir 2.266 6.798 2.266
Ir 2.266 6.798 6.798
Ir 6.798 2.266 2.266
Ir 6.798 2.266 6.798
Ir 6.798 6.798 2.266
Ir 6.798 6.798 6.798
```

=====

For DyGe2Ir, DFT lattice parameters and positions (GGA-PBE) gives the calculated powder diffraction line list in this record (Cu Ka).

Main lines, by angle (2θ = 10–90°):
- 33.46 deg, rel. 100
- 34.86 deg, rel. 46
- 39.18 deg, rel. 27
- 40.45 deg, rel. 21
- 42.19 deg, rel. 34
- 49.09 deg, rel. 19

```
16
Lattice="-2.142 4.460 8.050 2.142 -4.460 8.050 2.142 4.460 -8.050" Properties=species:S:1:pos:R:3 pbc="T T T"
Dy 0.000 0.000 3.311
Dy 0.000 2.133 0.000
Dy 0.000 6.787 0.000
Dy 0.000 0.000 12.790
Ge 2.142 0.000 1.239
Ge 2.142 -1.361 4.823
Ge 0.000 0.000 6.794
Ge 2.142 1.361 4.823
Ge 0.000 3.098 3.228
Ge 0.000 0.000 9.307
Ge 0.000 5.821 3.228
Ge 0.000 4.460 6.812
Ir 2.142 2.232 -2.347
Ir 2.142 2.232 2.347
Ir 0.000 2.227 5.704
Ir 0.000 2.227 10.397
```

=====

For Dy5Ge10Ir4, DFT lattice parameters and positions (GGA-PBE) gives the calculated powder diffraction line list in this record (Cu Ka).

Main lines, by angle (2θ = 10–90°):
- 32.18 deg, rel. 28
- 34.37 deg, rel. 100
- 35.07 deg, rel. 63
- 35.76 deg, rel. 71
- 41.51 deg, rel. 64
- 44.47 deg, rel. 33

```
38
Lattice="13.045 0.000 0.000 0.000 13.045 0.000 0.000 0.000 4.351" Properties=species:S:1:pos:R:3 pbc="T T T"
Dy 0.000 0.000 0.000
Dy 1.509 5.013 2.175
Dy 2.268 8.790 2.175
Dy 4.254 2.268 2.175
Dy 5.013 11.535 2.175
Dy 6.522 6.522 0.000
Dy 8.032 1.509 2.175
Dy 8.790 10.776 2.175
Dy 10.776 4.254 2.175
Dy 11.535 8.032 2.175
Ge 0.112 10.998 2.175
Ge 0.869 7.391 0.000
Ge 2.047 0.112 2.175
Ge 2.120 2.608 0.000
Ge 2.608 10.925 0.000
Ge 3.915 4.402 0.000
Ge 4.402 9.130 0.000
Ge 4.476 6.634 2.175
Ge 5.653 0.869 0.000
Ge 6.410 4.476 2.175
Ge 6.634 8.569 2.175
Ge 7.391 12.176 0.000
Ge 8.569 6.410 2.175
Ge 8.642 3.915 0.000
Ge 9.130 8.642 0.000
Ge 10.437 2.120 0.000
Ge 10.925 10.437 0.000
Ge 10.998 12.932 2.175
Ge 12.176 5.653 0.000
Ge 12.932 2.047 2.175
Ir 0.273 9.833 0.000
Ir 3.211 0.273 0.000
Ir 3.311 6.796 0.000
Ir 6.249 3.311 0.000
Ir 6.796 9.734 0.000
Ir 9.734 6.249 0.000
Ir 9.833 12.771 0.000
Ir 12.771 3.211 0.000
```

=====

For KPrDyGeO6, DFT lattice parameters and positions (GGA-PBE) gives the calculated powder diffraction line list in this record (Cu Ka).

Main lines, by angle (2θ = 10–90°):
- 18.77 deg, rel. 23
- 30.89 deg, rel. 100
- 44.26 deg, rel. 32
- 54.95 deg, rel. 39
- 64.38 deg, rel. 19
- 89.61 deg, rel. 21

```
10
Lattice="0.000 4.093 4.093 4.093 0.000 4.093 4.093 4.093 0.000" Properties=species:S:1:pos:R:3 pbc="T T T"
K 0.000 0.000 0.000
Pr 4.093 4.093 4.093
Dy 2.047 2.047 2.047
Ge 6.140 6.140 6.140
O 6.140 6.140 4.245
O 6.140 4.245 6.140
O 8.035 6.140 6.140
O 4.245 6.140 6.140
O 6.140 8.035 6.140
O 6.140 6.140 8.035
```

=====

For Dy2MgGe2, DFT lattice parameters and positions (GGA-PBE) gives the calculated powder diffraction line list in this record (Cu Ka).

Main lines, by angle (2θ = 10–90°):
- 17.26 deg, rel. 16
- 32.41 deg, rel. 27
- 34.75 deg, rel. 100
- 39.21 deg, rel. 18
- 42.52 deg, rel. 16
- 56.53 deg, rel. 17

```
10
Lattice="7.266 0.000 0.000 0.000 7.266 0.000 0.000 0.000 4.252" Properties=species:S:1:pos:R:3 pbc="T T T"
Dy 1.288 2.345 0.000
Dy 2.345 5.978 0.000
Dy 4.921 1.288 0.000
Dy 5.978 4.921 0.000
Mg 0.000 0.000 2.126
Mg 3.633 3.633 2.126
Ge 0.898 4.531 2.126
Ge 2.735 0.898 2.126
Ge 4.531 6.368 2.126
Ge 6.368 2.735 2.126
```

=====

For Dy2MnGe4, DFT lattice parameters and positions (GGA-PBE) gives the calculated powder diffraction line list in this record (Cu Ka).

Main lines, by angle (2θ = 10–90°):
- 34.56 deg, rel. 100
- 34.96 deg, rel. 16
- 35.95 deg, rel. 20
- 42.34 deg, rel. 22
- 42.65 deg, rel. 21
- 72.88 deg, rel. 19

```
7
Lattice="4.239 0.000 0.000 0.000 2.135 7.700 0.000 -2.135 7.700" Properties=species:S:1:pos:R:3 pbc="T T T"
Dy 0.000 0.000 0.000
Dy 2.120 0.000 3.117
Mn 0.000 0.000 12.328
Ge 0.000 0.000 5.551
Ge 0.000 0.000 9.986
Ge 2.120 0.000 8.282
Ge 2.120 0.000 13.171
```

=====

For DyMnGe, DFT lattice parameters and positions (GGA-PBE) gives the calculated powder diffraction line list in this record (Cu Ka).

Main lines, by angle (2θ = 10–90°):
- 24.38 deg, rel. 20
- 33.87 deg, rel. 94
- 35.31 deg, rel. 100
- 36.27 deg, rel. 35
- 40.57 deg, rel. 21
- 44.03 deg, rel. 32

```
12
Lattice="7.080 0.000 0.000 0.000 4.113 0.000 0.000 0.000 7.931" Properties=species:S:1:pos:R:3 pbc="T T T"
Dy 0.160 1.028 1.438
Dy 3.380 3.085 5.404
Dy 3.701 1.028 2.527
Dy 6.920 3.085 6.492
Mn 0.937 1.028 4.392
Mn 2.603 3.085 0.427
Mn 4.477 1.028 7.504
Mn 6.143 3.085 3.539
Ge 1.587 3.085 3.020
Ge 1.953 1.028 6.985
Ge 5.127 3.085 0.945
Ge 5.494 1.028 4.910
```